Simulated X-ray powder pattern
Compound: BaCd9Hg2
Radiation: Cu Kα, 1.54184 Å
Structure: a PBE-relaxed structure
Peak positions follow from Bragg's law for the DFT cell and can differ from measured ones.

Main lines, by angle (10° ≤ 2θ ≤ 90°):
d (Å), two_theta, Rel. int.
3.097, 28.8, 44
2.933, 30.5, 29
2.670, 33.6, 38
2.581, 34.8, 100
2.505, 35.8, 27
2.419, 37.2, 41
1.670, 55.0, 26
1.549, 59.7, 32

Atomic structure:
Cell: 10.001 10.001 10.001 Å, 36.08 36.08 36.08°
Sites, in units of the cell vectors:
1 Ba 0.000 0.000 0.000
2 Cd 0.077 0.595 0.595
3 Cd 0.335 0.335 0.335
4 Cd 0.405 0.405 0.923
5 Cd 0.405 0.923 0.405
6 Cd 0.500 0.500 0.500
7 Cd 0.595 0.077 0.595
8 Cd 0.595 0.595 0.077
9 Cd 0.665 0.665 0.665
10 Cd 0.923 0.405 0.405
11 Hg 0.138 0.138 0.138
12 Hg 0.862 0.862 0.862

***

Simulated X-ray powder pattern
Compound: BaCd2Hg2
Radiation: Cu Kα, 1.54184 Å
Structure: a PBE-relaxed structure
Peak positions follow from Bragg's law for the DFT cell and can differ from measured ones.

Main lines, by angle (10° ≤ 2θ ≤ 90°):
d (Å), two_theta, Rel. int.
4.456, 19.9, 42
3.214, 27.8, 80
2.983, 30.0, 100
2.368, 38.0, 86
2.344, 38.4, 67
2.296, 39.2, 68
1.907, 47.7, 37
1.649, 55.8, 49

Atomic structure:
Cell: 7.369 7.369 7.369 Å, 142.50 142.50 54.07°
Sites, in units of the cell vectors:
1 Ba 0.000 0.000 0.000
2 Cd 0.250 0.750 0.500
3 Cd 0.750 0.250 0.500
4 Hg 0.387 0.387 0.000
5 Hg 0.613 0.613 0.000

***

Simulated X-ray powder pattern
Compound: BaCd2Hg6
Radiation: Cu Kα, 1.54184 Å
Structure: a PBE-relaxed structure
Peak positions follow from Bragg's law for the DFT cell and can differ from measured ones.

Main lines, by angle (10° ≤ 2θ ≤ 90°):
d (Å), two_theta, Rel. int.
5.354, 16.6, 53
4.554, 19.5, 36
2.677, 33.5, 100
2.641, 33.9, 38
2.568, 34.9, 39
2.557, 35.1, 59
2.308, 39.0, 91
1.506, 61.6, 48

Atomic structure:
Cell: 6.182 6.182 9.107 Å, 90.00 90.00 120.00°
Sites, in units of the cell vectors:
1 Ba 0.000 0.000 0.000
2 Cd 0.333 0.667 0.500
3 Cd 0.667 0.333 0.500
4 Hg 0.000 0.500 0.206
5 Hg 0.000 0.500 0.794
6 Hg 0.500 0.000 0.206
7 Hg 0.500 0.000 0.794
8 Hg 0.500 0.500 0.206
9 Hg 0.500 0.500 0.794

***

Simulated X-ray powder pattern
Compound: BaCd2Hg
Radiation: Cu Kα, 1.54184 Å
Structure: a PBE-relaxed structure
Peak positions follow from Bragg's law for the DFT cell and can differ from measured ones.

Main lines, by angle (10° ≤ 2θ ≤ 90°):
d (Å), two_theta, Rel. int.
4.332, 20.5, 16
2.986, 29.9, 100
2.604, 34.4, 30
2.599, 34.5, 96
1.958, 46.4, 20
1.566, 59.0, 19
1.504, 61.7, 14
1.499, 61.9, 19

Atomic structure:
Cell: 5.201 5.201 6.104 Å, 115.14 115.14 59.84°
Sites, in units of the cell vectors:
1 Ba 0.000 0.000 0.000
2 Cd 0.482 0.482 0.447
3 Cd 0.783 0.783 0.350
4 Hg 0.223 0.223 0.667

***

Simulated X-ray powder pattern
Compound: Ba2HoCdHg6
Radiation: Cu Kα, 1.54184 Å
Structure: a PBE-relaxed structure
Peak positions follow from Bragg's law for the DFT cell and can differ from measured ones.

Main lines, by angle (10° ≤ 2θ ≤ 90°):
d (Å), two_theta, Rel. int.
5.654, 15.7, 30
3.265, 27.3, 89
2.827, 31.6, 100
1.999, 45.4, 75
1.705, 53.8, 42
1.632, 56.4, 26
1.264, 75.1, 34
1.154, 83.8, 26

Atomic structure:
Cell: 7.996 7.996 7.996 Å, 60.00 60.00 60.00°
Sites, in units of the cell vectors:
1 Ba 0.250 0.250 0.250
2 Ba 0.750 0.750 0.750
3 Ho 0.000 0.000 0.000
4 Cd 0.500 0.500 0.500
5 Hg 0.254 0.254 0.746
6 Hg 0.254 0.746 0.254
7 Hg 0.254 0.746 0.746
8 Hg 0.746 0.254 0.254
9 Hg 0.746 0.254 0.746
10 Hg 0.746 0.746 0.254

***

Simulated X-ray powder pattern
Compound: Ba2LiCd3Hg4
Radiation: Cu Kα, 1.54184 Å
Structure: a PBE-relaxed structure
Peak positions follow from Bragg's law for the DFT cell and can differ from measured ones.

Main lines, by angle (10° ≤ 2θ ≤ 90°):
d (Å), two_theta, Rel. int.
3.322, 26.8, 30
3.137, 28.5, 71
3.008, 29.7, 100
2.440, 36.8, 82
2.294, 39.3, 53
2.195, 41.1, 37
1.926, 47.2, 35
1.632, 56.4, 29

Atomic structure:
Cell: 4.880 4.880 12.286 Å, 90.00 90.00 90.00°
Sites, in units of the cell vectors:
1 Ba 0.000 0.500 0.247
2 Ba 0.500 0.000 0.753
3 Li 0.000 0.000 0.500
4 Cd 0.000 0.500 0.863
5 Cd 0.500 0.000 0.137
6 Cd 0.500 0.500 0.500
7 Hg 0.000 0.000 0.000
8 Hg 0.000 0.500 0.628
9 Hg 0.500 0.000 0.372
10 Hg 0.500 0.500 0.000

***

Simulated X-ray powder pattern
Compound: BaMg2CdHg5
Radiation: Cu Kα, 1.54184 Å
Structure: a PBE-relaxed structure
Peak positions follow from Bragg's law for the DFT cell and can differ from measured ones.

Main lines, by angle (10° ≤ 2θ ≤ 90°):
d (Å), two_theta, Rel. int.
3.634, 24.5, 100
3.074, 29.0, 46
2.801, 31.9, 45
2.668, 33.6, 41
2.500, 35.9, 30
2.481, 36.2, 33
2.473, 36.3, 32
2.015, 45.0, 28

Atomic structure:
Cell: 8.598 8.598 8.598 Å, 143.85 133.77 60.05°
Sites, in units of the cell vectors:
1 Ba 0.000 0.000 0.000
2 Mg 0.316 0.816 0.500
3 Mg 0.684 0.184 0.500
4 Cd 0.500 0.500 0.000
5 Hg 0.082 0.334 0.748
6 Hg 0.414 0.666 0.748
7 Hg 0.500 0.000 0.500
8 Hg 0.586 0.334 0.252
9 Hg 0.918 0.666 0.252

***

Simulated X-ray powder pattern
Compound: Ba2CdHgRh
Radiation: Cu Kα, 1.54184 Å
Structure: a PBE-relaxed structure
Peak positions follow from Bragg's law for the DFT cell and can differ from measured ones.

Main lines, by angle (10° ≤ 2θ ≤ 90°):
d (Å), two_theta, Rel. int.
3.946, 22.5, 25
3.290, 27.1, 100
2.978, 30.0, 81
2.635, 34.0, 29
2.106, 43.0, 30
1.973, 46.0, 50
1.773, 51.5, 34
1.645, 55.9, 28

Atomic structure:
Cell: 5.955 5.955 5.270 Å, 90.00 90.00 90.00°
Sites, in units of the cell vectors:
1 Ba 0.000 0.500 0.000
2 Ba 0.500 0.000 0.000
3 Cd 0.000 0.000 0.500
4 Hg 0.500 0.500 0.500
5 Rh 0.000 0.000 0.000

***

Simulated X-ray powder pattern
Compound: Ba3Cd2Hg2Sb4
Radiation: Cu Kα, 1.54184 Å
Structure: a PBE-relaxed structure
Peak positions follow from Bragg's law for the DFT cell and can differ from measured ones.

Main lines, by angle (10° ≤ 2θ ≤ 90°):
d (Å), two_theta, Rel. int.
3.582, 24.9, 25
3.204, 27.8, 36
2.867, 31.2, 71
2.699, 33.2, 18
2.533, 35.4, 100
1.790, 51.0, 23
1.518, 61.0, 24
1.462, 63.6, 17

Atomic structure:
Cell: 14.798 14.798 14.798 Å, 160.30 160.30 28.00°
Sites, in units of the cell vectors:
1 Ba 0.000 0.000 0.000
2 Ba 0.192 0.192 0.000
3 Ba 0.808 0.808 0.000
4 Cd 0.453 0.453 0.000
5 Cd 0.547 0.547 0.000
6 Hg 0.318 0.318 0.000
7 Hg 0.682 0.682 0.000
8 Sb 0.104 0.604 0.500
9 Sb 0.396 0.896 0.500
10 Sb 0.604 0.104 0.500
11 Sb 0.896 0.396 0.500

***

Simulated X-ray powder pattern
Compound: BaCdSnHg2
Radiation: Cu Kα, 1.54184 Å
Structure: a PBE-relaxed structure
Peak positions follow from Bragg's law for the DFT cell and can differ from measured ones.

Main lines, by angle (10° ≤ 2θ ≤ 90°):
d (Å), two_theta, Rel. int.
3.169, 28.2, 50
3.026, 29.5, 100
2.450, 36.7, 34
2.443, 36.8, 34
2.316, 38.9, 49
2.223, 40.6, 32
1.936, 46.9, 25
1.645, 55.9, 26

Atomic structure:
Cell: 7.132 7.132 7.132 Å, 139.93 139.81 58.05°
Sites, in units of the cell vectors:
1 Ba 0.000 0.000 0.000
2 Cd 0.253 0.753 0.500
3 Sn 0.618 0.618 0.000
4 Hg 0.388 0.388 0.000
5 Hg 0.752 0.252 0.500

***

Simulated X-ray powder pattern
Compound: BaTl2Cd2Hg2
Radiation: Cu Kα, 1.54184 Å
Structure: a PBE-relaxed structure
Peak positions follow from Bragg's law for the DFT cell and can differ from measured ones.

Main lines, by angle (10° ≤ 2θ ≤ 90°):
d (Å), two_theta, Rel. int.
3.756, 23.7, 22
3.499, 25.5, 28
3.009, 29.7, 49
2.791, 32.1, 58
2.539, 35.3, 100
2.255, 40.0, 21
1.534, 60.3, 23
1.466, 63.5, 18

Atomic structure:
Cell: 10.065 10.065 10.065 Å, 29.22 29.22 29.22°
Sites, in units of the cell vectors:
1 Ba 0.000 0.000 0.000
2 Tl 0.139 0.139 0.139
3 Tl 0.861 0.861 0.861
4 Cd 0.249 0.249 0.249
5 Cd 0.751 0.751 0.751
6 Hg 0.401 0.401 0.401
7 Hg 0.599 0.599 0.599

***

Simulated X-ray powder pattern
Compound: Ba3Tl2Cd2Hg4
Radiation: Cu Kα, 1.54184 Å
Structure: a PBE-relaxed structure
Peak positions follow from Bragg's law for the DFT cell and can differ from measured ones.

Main lines, by angle (10° ≤ 2θ ≤ 90°):
d (Å), two_theta, Rel. int.
3.707, 24.0, 20
3.377, 26.4, 32
2.892, 30.9, 63
2.670, 33.6, 100
2.167, 41.7, 30
1.962, 46.3, 21
1.659, 55.4, 23
1.581, 58.4, 21

Atomic structure:
Cell: 5.340 5.340 14.827 Å, 90.00 90.00 120.00°
Sites, in units of the cell vectors:
1 Ba 0.000 0.000 0.000
2 Ba 0.000 0.000 0.285
3 Ba 0.000 0.000 0.715
4 Tl 0.333 0.667 0.141
5 Tl 0.667 0.333 0.859
6 Cd 0.333 0.667 0.581
7 Cd 0.667 0.333 0.419
8 Hg 0.333 0.667 0.387
9 Hg 0.333 0.667 0.866
10 Hg 0.667 0.333 0.134
11 Hg 0.667 0.333 0.613